1.
Theoretical PXRD pattern of MgFe6O6F6 for CuKα, from a structure optimized by DFT (GGA+U).
Neutral-atom scattering factors, no anomalous dispersion.

Most intense lines, 2θ = 10–90°, by angle:
- 2θ = 19.08°, 4.652 Å, I = 14, hkl 0 1 -1
- 2θ = 19.21°, 4.620 Å, I = 13, hkl 0 1 1
- 2θ = 23.53°, 3.782 Å, I = 100, hkl 1 -1 0
- 2θ = 26.09°, 3.415 Å, I = 18, hkl 1 1 1
- 2θ = 34.83°, 2.576 Å, I = 11, hkl 1 0 -3
- 2θ = 36.21°, 2.481 Å, I = 12, hkl 1 0 3
- 2θ = 38.55°, 2.335 Å, I = 20, hkl 1 1 -3
- 2θ = 38.71°, 2.326 Å, I = 16, hkl 0 2 -2
- 2θ = 40.00°, 2.254 Å, I = 14, hkl 1 1 3
- 2θ = 63.38°, 1.468 Å, I = 11, hkl 3 2 0

Cell and atoms:
```
data_MgFe6O6F6
_space_group_name_H-M_alt 'P 1'
_space_group_IT_number 1
_space_group_name_Hall 'P 1'
_cell_length_a 5.2233
_cell_length_b 5.4877
_cell_length_c 8.6732
_cell_angle_alpha 90.44
_cell_angle_beta 92.55
_cell_angle_gamma 90.07
loop_
_atom_site_label
_atom_site_type_symbol
_atom_site_fract_x
_atom_site_fract_y
_atom_site_fract_z
_atom_site_occupancy
Mg1 Mg 0.0000 0.0000 0.0000 1
Fe1 Fe 0.0136 0.4605 0.1760 1
Fe2 Fe 0.0361 0.4565 0.8059 1
Fe3 Fe 0.3868 0.9452 0.6527 1
Fe4 Fe 0.5014 0.2068 0.9749 1
Fe5 Fe 0.5251 0.1044 0.3235 1
Fe6 Fe 0.8680 0.6149 0.4872 1
O1 O 0.1433 0.6820 0.6521 1
O2 O 0.2215 0.1541 0.8108 1
O3 O 0.2767 0.1691 0.1518 1
O4 O 0.6296 0.8772 0.4914 1
O5 O 0.7438 0.3807 0.3360 1
O6 O 0.8388 0.3467 0.9771 1
F1 F 0.1354 0.6980 0.3386 1
F2 F 0.1792 0.6887 0.9773 1
F3 F 0.2673 0.1795 0.4892 1
F4 F 0.6665 0.9106 0.8266 1
F5 F 0.7393 0.4056 0.6596 1
F6 F 0.7412 0.9274 0.1590 1
```

---

2.
Theoretical PXRD pattern of MgFe6O6F6 for CuKα, from a structure optimized by DFT (GGA+U).
Neutral-atom scattering factors, no anomalous dispersion.

Most intense lines, 2θ = 10–90°, by angle:
- 2θ = 22.93°, 3.879 Å, I = 84, hkl 1 -1 0
- 2θ = 24.69°, 3.606 Å, I = 16, hkl -1 1 1
- 2θ = 25.01°, 3.561 Å, I = 100, hkl 1 1 0
- 2θ = 34.14°, 2.626 Å, I = 15, hkl 1 0 -3
- 2θ = 34.88°, 2.572 Å, I = 17, hkl 0 1 -3
- 2θ = 35.09°, 2.557 Å, I = 21, hkl 0 1 3
- 2θ = 36.11°, 2.488 Å, I = 15, hkl 1 0 3
- 2θ = 39.14°, 2.302 Å, I = 17, hkl 2 0 -2
- 2θ = 39.30°, 2.293 Å, I = 20, hkl 1 -1 3
- 2θ = 41.86°, 2.158 Å, I = 16, hkl -1 2 2

Cell and atoms:
```
data_MgFe6O6F6
_space_group_name_H-M_alt 'P 1'
_space_group_IT_number 1
_space_group_name_Hall 'P 1'
_cell_length_a 5.2308
_cell_length_b 5.3113
_cell_length_c 8.8139
_cell_angle_alpha 90.08
_cell_angle_beta 93.62
_cell_angle_gamma 94.88
loop_
_atom_site_label
_atom_site_type_symbol
_atom_site_fract_x
_atom_site_fract_y
_atom_site_fract_z
_atom_site_occupancy
Mg1 Mg 0.0000 0.0000 0.0000 1
Fe1 Fe 0.0891 0.3460 0.5353 1
Fe2 Fe 0.4200 0.8625 0.3685 1
Fe3 Fe 0.4411 0.8623 0.7029 1
Fe4 Fe 0.5244 0.9681 0.0445 1
Fe5 Fe 0.8801 0.4988 0.2141 1
Fe6 Fe 0.8881 0.4951 0.8426 1
O1 O 0.1637 0.5775 0.3649 1
O2 O 0.1860 0.5806 0.7027 1
O3 O 0.3021 0.0685 0.5323 1
O4 O 0.6565 0.7626 0.2192 1
O5 O 0.6964 0.8128 0.8683 1
O6 O 0.7920 0.2825 0.0373 1
F1 F 0.1273 0.6738 0.0469 1
F2 F 0.2569 0.0814 0.1971 1
F3 F 0.2710 0.0820 0.8627 1
F4 F 0.6351 0.7243 0.5390 1
F5 F 0.7830 0.2447 0.3694 1
F6 F 0.8095 0.2261 0.6725 1
```

---

3.
Theoretical PXRD pattern of MgFe4O4F4 for CuKα, from a structure optimized by DFT (GGA+U).
Neutral-atom scattering factors, no anomalous dispersion.

Most intense lines, 2θ = 10–90°, by angle:
- 2θ = 23.55°, 3.778 Å, I = 75, hkl 1 0 -2
- 2θ = 26.05°, 3.421 Å, I = 100, hkl 1 0 2
- 2θ = 30.84°, 2.899 Å, I = 29, hkl 1 0 -3
- 2θ = 34.74°, 2.582 Å, I = 48, hkl 1 1 0
- 2θ = 35.53°, 2.527 Å, I = 67, hkl 0 1 2
- 2θ = 38.67°, 2.328 Å, I = 51, hkl 1 1 -2
- 2θ = 40.31°, 2.237 Å, I = 34, hkl 2 0 2
- 2θ = 50.25°, 1.816 Å, I = 41, hkl 1 1 -4
- 2θ = 52.93°, 1.730 Å, I = 54, hkl 1 1 4
- 2θ = 53.58°, 1.710 Å, I = 30, hkl 2 0 4

Cell and atoms:
```
data_MgFe4O4F4
_space_group_name_H-M_alt 'P 1 2 1'
_space_group_IT_number 3
_space_group_name_Hall 'P 2y'
_cell_length_a 5.3301
_cell_length_b 2.9564
_cell_length_c 9.7844
_cell_angle_alpha 90.00
_cell_angle_beta 95.70
_cell_angle_gamma 90.00
loop_
_atom_site_label
_atom_site_type_symbol
_atom_site_fract_x
_atom_site_fract_y
_atom_site_fract_z
_atom_site_occupancy
Mg1 Mg 0.0000 0.0000 0.0000 1
Fe1 Fe 0.0996 0.0020 0.7212 1
Fe2 Fe 0.5000 0.5000 0.0000 1
Fe3 Fe 0.5000 0.5046 0.5000 1
O1 O 0.1554 0.5006 0.8759 1
O2 O 0.3629 0.0044 0.6047 1
F1 F 0.1425 0.5031 0.3671 1
F2 F 0.3224 0.0000 0.1153 1
```